Starting from a PBE+U-relaxed structure, the powder diffraction line list of KNaMnO2 was simulated for a wavelength of 1.5418 Å.
No peak broadening, texture or thermal motion is included.

Structural model:
```
10
Lattice="2.882 -6.195 0.000 2.882 6.195 0.000 0.000 0.000 5.786" Properties=species:S:1:pos:R:3 pbc="T T T"
K 2.882 3.097 4.949
K 2.882 -3.097 0.838
Na 0.000 0.000 2.893
Na 2.882 0.000 2.893
Mn 1.441 0.000 0.000
Mn 4.323 0.000 0.000
O 2.882 5.069 1.014
O 2.882 1.126 1.014
O 2.882 -1.126 4.772
O 2.882 -5.069 4.772
```

Main lines, in order of rising 2θ (2θ from 10° to 80°):
2θ = 14.30°, intensity 620; 2θ = 15.31°, intensity 1000; 2θ = 28.82°, intensity 376; 2θ = 30.79°, intensity 501; 2θ = 34.21°, intensity 325; 2θ = 37.78°, intensity 707; 2θ = 41.19°, intensity 229; 2θ = 54.64°, intensity 238; 2θ = 57.14°, intensity 266; 2θ = 57.50°, intensity 199